No. 1
For Li5Fe8B8O24, a crystal structure in the Materials Project, relaxed with PBE+U gives the simulated XRD peak list in this record (a wavelength of 1.5418 Å).

```
data_Li5Fe8B8O24
_cell_length_a 5.264
_cell_length_b 9.104
_cell_length_c 11.360
_cell_angle_alpha 113.28
_cell_angle_beta 102.87
_cell_angle_gamma 90.06
_space_group_name_H-M_alt 'P 1'
_space_group_IT_number 1
loop_
_space_group_symop_operation_xyz
'x,y,z'
loop_
_atom_site_label
_atom_site_fract_x
_atom_site_fract_y
_atom_site_fract_z
_atom_site_occupancy
Li1 0.000 0.000 0.000 1
Li2 0.038 0.028 0.735 1
Li3 0.283 0.238 0.499 1
Li4 0.498 0.498 0.996 1
Li5 0.783 0.731 0.491 1
Fe1 0.032 0.348 0.713 1
Fe2 0.263 0.545 0.458 1
Fe3 0.285 0.922 0.213 1
Fe4 0.482 0.145 0.965 1
Fe5 0.533 0.836 0.714 1
Fe6 0.762 0.049 0.460 1
Fe7 0.785 0.423 0.215 1
Fe8 0.975 0.644 0.959 1
B1 0.033 0.681 0.710 1
B2 0.254 0.885 0.463 1
B3 0.277 0.589 0.206 1
B4 0.489 0.805 0.963 1
B5 0.529 0.163 0.705 1
B6 0.746 0.381 0.458 1
B7 0.778 0.089 0.208 1
B8 0.989 0.304 0.958 1
O1 0.002 0.885 0.475 1
O2 0.027 0.062 0.191 1
O3 0.094 0.159 0.941 1
O4 0.109 0.416 0.929 1
O5 0.147 0.500 0.253 1
O6 0.155 0.705 0.172 1
O7 0.258 0.845 0.006 1
O8 0.268 0.667 0.670 1
O9 0.350 0.989 0.415 1
O10 0.375 0.275 0.688 1
O11 0.425 0.785 0.504 1
O12 0.435 0.054 0.751 1
O13 0.489 0.376 0.460 1
O14 0.527 0.560 0.191 1
O15 0.600 0.908 0.917 1
O16 0.606 0.674 0.965 1
O17 0.649 0.999 0.253 1
O18 0.653 0.205 0.172 1
O19 0.759 0.336 0.004 1
O20 0.772 0.147 0.676 1
O21 0.849 0.494 0.417 1
O22 0.888 0.805 0.697 1
O23 0.912 0.280 0.494 1
O24 0.948 0.579 0.756 1
```

Main lines, in order of rising 2θ (2θ = 15–90°):
2θ (°)  d [Å]  intensity  (hkl)
19.48  4.557  92  1 -1 0
21.46  4.142  100  1 1 -2
26.21  3.400  62  0 2 1
34.07  2.631  60  1 -3 1
34.12  2.628  25  1 3 -2
35.47  2.531  87  0 0 4
38.43  2.343  24  1 3 0
40.54  2.225  52  0 4 -1
54.00  1.698  43  2 4 -2
61.01  1.519  25  3 -3 0


No. 2
For NaNdV4O12, a crystal structure in the Materials Project, relaxed with PBE+U gives the simulated XRD peak list in this record (a wavelength of 1.5418 Å).

```
data_NaNdV4O12
_cell_length_a 5.313
_cell_length_b 5.313
_cell_length_c 7.534
_cell_angle_alpha 90.00
_cell_angle_beta 90.00
_cell_angle_gamma 90.00
_space_group_name_H-M_alt 'P 4/m m m'
_space_group_IT_number 123
_space_group_name_Hall '-P 4 2'
loop_
_atom_site_label
_atom_site_fract_x
_atom_site_fract_y
_atom_site_fract_z
_atom_site_occupancy
Na1 0.000 0.000 0.000 1
Nd1 0.500 0.500 0.500 1
V1 0.000 0.500 0.245 1
O1 0.000 0.500 0.000 1
O2 0.000 0.500 0.500 1
O3 0.255 0.255 0.255 1
```

Main lines, in order of rising 2θ (2θ = 15–90°):
2θ (°)  d [Å]  intensity  (hkl)
16.69  5.313  31  1 0 0
20.45  4.342  73  1 0 1
26.51  3.362  22  1 1 1
33.71  2.659  100  2 0 0
39.75  2.267  39  2 1 1
48.33  1.883  19  0 0 4
48.46  1.878  38  2 2 0
53.08  1.725  17  2 1 3
60.29  1.535  37  3 1 2
70.85  1.330  20  2 2 4


No. 3
For YMg6NiO8, a crystal structure in the Materials Project, relaxed with PBE+U gives the simulated XRD peak list in this record (a wavelength of 1.5418 Å).

```
data_YMg6NiO8
_cell_length_a 4.409
_cell_length_b 4.409
_cell_length_c 8.840
_cell_angle_alpha 90.00
_cell_angle_beta 90.00
_cell_angle_gamma 90.00
_space_group_name_H-M_alt 'P 4/m m m'
_space_group_IT_number 123
_space_group_name_Hall '-P 4 2'
loop_
_atom_site_label
_atom_site_fract_x
_atom_site_fract_y
_atom_site_fract_z
_atom_site_occupancy
Y1 0.000 0.000 0.000 1
Mg1 0.000 0.500 0.274 1
Mg2 0.500 0.500 0.000 1
Mg3 0.500 0.500 0.500 1
Ni1 0.000 0.000 0.500 1
O1 0.000 0.000 0.251 1
O2 0.000 0.500 0.000 1
O3 0.000 0.500 0.500 1
O4 0.500 0.500 0.249 1
```

Main lines, in order of rising 2θ (2θ = 15–90°):
2θ (°)  d [Å]  intensity  (hkl)
20.12  4.413  57  0 0 2
28.61  3.120  46  1 1 0
35.23  2.548  48  1 1 2
40.83  2.210  46  0 0 4
40.94  2.205  100  2 0 0
45.99  1.973  25  2 0 2
50.67  1.802  20  1 1 4
59.23  1.560  84  2 2 0
70.87  1.330  16  3 1 2
74.48  1.274  25  2 2 4


Repeat the first record exactly.
For Li5Fe8B8O24, a crystal structure in the Materials Project, relaxed with PBE+U gives the simulated XRD peak list in this record (a wavelength of 1.5418 Å).

```
data_Li5Fe8B8O24
_cell_length_a 5.264
_cell_length_b 9.104
_cell_length_c 11.360
_cell_angle_alpha 113.28
_cell_angle_beta 102.87
_cell_angle_gamma 90.06
_space_group_name_H-M_alt 'P 1'
_space_group_IT_number 1
loop_
_space_group_symop_operation_xyz
'x,y,z'
loop_
_atom_site_label
_atom_site_fract_x
_atom_site_fract_y
_atom_site_fract_z
_atom_site_occupancy
Li1 0.000 0.000 0.000 1
Li2 0.038 0.028 0.735 1
Li3 0.283 0.238 0.499 1
Li4 0.498 0.498 0.996 1
Li5 0.783 0.731 0.491 1
Fe1 0.032 0.348 0.713 1
Fe2 0.263 0.545 0.458 1
Fe3 0.285 0.922 0.213 1
Fe4 0.482 0.145 0.965 1
Fe5 0.533 0.836 0.714 1
Fe6 0.762 0.049 0.460 1
Fe7 0.785 0.423 0.215 1
Fe8 0.975 0.644 0.959 1
B1 0.033 0.681 0.710 1
B2 0.254 0.885 0.463 1
B3 0.277 0.589 0.206 1
B4 0.489 0.805 0.963 1
B5 0.529 0.163 0.705 1
B6 0.746 0.381 0.458 1
B7 0.778 0.089 0.208 1
B8 0.989 0.304 0.958 1
O1 0.002 0.885 0.475 1
O2 0.027 0.062 0.191 1
O3 0.094 0.159 0.941 1
O4 0.109 0.416 0.929 1
O5 0.147 0.500 0.253 1
O6 0.155 0.705 0.172 1
O7 0.258 0.845 0.006 1
O8 0.268 0.667 0.670 1
O9 0.350 0.989 0.415 1
O10 0.375 0.275 0.688 1
O11 0.425 0.785 0.504 1
O12 0.435 0.054 0.751 1
O13 0.489 0.376 0.460 1
O14 0.527 0.560 0.191 1
O15 0.600 0.908 0.917 1
O16 0.606 0.674 0.965 1
O17 0.649 0.999 0.253 1
O18 0.653 0.205 0.172 1
O19 0.759 0.336 0.004 1
O20 0.772 0.147 0.676 1
O21 0.849 0.494 0.417 1
O22 0.888 0.805 0.697 1
O23 0.912 0.280 0.494 1
O24 0.948 0.579 0.756 1
```

Main lines, in order of rising 2θ (2θ = 15–90°):
2θ (°)  d [Å]  intensity  (hkl)
19.48  4.557  92  1 -1 0
21.46  4.142  100  1 1 -2
26.21  3.400  62  0 2 1
34.07  2.631  60  1 -3 1
34.12  2.628  25  1 3 -2
35.47  2.531  87  0 0 4
38.43  2.343  24  1 3 0
40.54  2.225  52  0 4 -1
54.00  1.698  43  2 4 -2
61.01  1.519  25  3 -3 0